Li2V3O6: simulated powder XRD pattern (Cu Kα X-rays), based on a crystal structure in Alexandria, relaxed with PBE+U.
No peak broadening, texture or thermal motion is included.

a b c (Å): 3.039 6.122 6.507
angles (deg): 103.68 103.50 90.01
Positions (direct):
Li  0.000  0.000  0.000
Li  0.329  0.636  0.655
V  0.007  0.467  0.011
V  0.324  0.169  0.644
V  0.665  0.818  0.328
O  0.164  0.029  0.324
O  0.167  0.607  0.331
O  0.488  0.238  0.974
O  0.509  0.714  0.016
O  0.821  0.922  0.640
O  0.842  0.398  0.682

Top 6 peaks for 15 to 90 degrees two-theta, by angle:
- 18.08°, rel. 100.0, (0 1 -1)
- 34.74°, rel. 24.2, (1 1 0)
- 36.07°, rel. 11.8, (0 1 2)
- 41.89°, rel. 49.2, (1 2 -1)
- 44.27°, rel. 20.3, (0 0 3)
- 62.58°, rel. 23.1, (1 2 2)